Entry 1:
Theoretical powder XRD pattern
Compound: Nd2Dy2ErTm4
Radiation: λ = 1.5418 Å (Cu Kα)
Structure: the PBE geometry in Alexandria
Intensities are scaled so that the largest is 100.

Largest 10 diffraction maxima, in order of rising 2θ, 10° ≤ 2θ ≤ 90°:
- 2θ = 29.07°, intensity 36
- 2θ = 29.71°, intensity 19
- 2θ = 31.36°, intensity 52
- 2θ = 32.12°, intensity 100
- 2θ = 33.83°, intensity 93
- 2θ = 51.14°, intensity 40
- 2θ = 55.18°, intensity 20
- 2θ = 58.51°, intensity 21
- 2θ = 61.23°, intensity 46
- 2θ = 87.54°, intensity 19

Crystal structure
```
Nd2Dy2ErTm4
1.0
9.273 -1.787 0.000
9.273 1.787 0.000
-4.124 0.000 8.557
Nd Dy Er Tm
2 2 1 4
Direct
0.165 0.165 0.000
0.835 0.835 0.000
0.353 0.353 0.338
0.647 0.647 0.662
0.500 0.500 0.000
0.020 0.020 0.335
0.315 0.315 0.663
0.685 0.685 0.337
0.980 0.980 0.665
```

Entry 2:
Theoretical powder XRD pattern
Compound: SrHfMn2P
Radiation: λ = 1.5418 Å (Cu Kα)
Structure: the PBE geometry in Alexandria
Intensities are scaled so that the largest is 100.

Largest 10 diffraction maxima, in order of rising 2θ, 10° ≤ 2θ ≤ 90°:
- 2θ = 25.21°, intensity 100
- 2θ = 26.36°, intensity 27
- 2θ = 31.49°, intensity 57
- 2θ = 34.23°, intensity 35
- 2θ = 37.62°, intensity 54
- 2θ = 43.71°, intensity 15
- 2θ = 45.83°, intensity 41
- 2θ = 51.76°, intensity 42
- 2θ = 54.25°, intensity 18
- 2θ = 65.73°, intensity 20

Crystal structure
```
SrHfMn2P
1.0
4.782 0.000 0.000
0.000 4.782 0.000
0.000 0.000 5.240
Sr Hf Mn P
1 1 2 1
Direct
0.000 0.000 0.000
0.500 0.500 0.500
0.000 0.500 0.000
0.500 0.000 0.000
0.000 0.000 0.500
```